(1)
Pr7Nd5Dy: computed XRD peak list (Cu Kα (weighted mean of Kα1 and Kα2)), based on a DFT-relaxed cell (PBE, Alexandria).
Neutral-atom scattering factors, no anomalous dispersion.

Cell: 8.9691 8.9691 8.9691 Å, 134.73 101.27 95.78°
Sites, in units of the cell vectors:
1 Pr 0.0000 0.0000 0.0000
2 Pr 0.0718 0.7545 0.3173
3 Pr 0.3081 0.3081 0.0000
4 Pr 0.4371 0.7545 0.6827
5 Pr 0.5811 0.2497 0.3314
6 Pr 0.9183 0.2497 0.6686
7 Pr 0.9927 0.4927 0.5000
8 Nd 0.2876 0.2861 0.5492
9 Nd 0.2876 0.7385 0.0015
10 Nd 0.4738 0.9738 0.5000
11 Nd 0.7369 0.2861 0.9985
12 Nd 0.7369 0.7385 0.4508
13 Dy 0.6940 0.6940 0.0000

Top 6 peaks for 2θ from 10° to 90°, sorted by position:
2θ 29.71, d 3.007, rel. 72
2θ 29.85, d 2.994, rel. 51
2θ 30.25, d 2.954, rel. 75
2θ 30.73, d 2.909, rel. 100
2θ 33.84, d 2.649, rel. 92
2θ 55.41, d 1.658, rel. 37

---

(2)
Rb2RhPb2: computed XRD peak list (Cu Kα (weighted mean of Kα1 and Kα2)), based on a DFT-relaxed cell (PBE, Alexandria).
Neutral-atom scattering factors, no anomalous dispersion.

Cell: 7.2889 7.2889 6.3561 Å, 90.00 90.00 90.00°
Sites, in units of the cell vectors:
1 Rb 0.1787 0.3213 0.0000
2 Rb 0.3213 0.8213 0.0000
3 Rb 0.6787 0.1787 0.0000
4 Rb 0.8213 0.6787 0.0000
5 Rh 0.0000 0.0000 0.5000
6 Rh 0.5000 0.5000 0.5000
7 Pb 0.1581 0.6581 0.5000
8 Pb 0.3419 0.1581 0.5000
9 Pb 0.6581 0.8419 0.5000
10 Pb 0.8419 0.3419 0.5000

Top 6 peaks for 2θ from 10° to 90°, sorted by position:
2θ 13.93, d 6.356, rel. 48
2θ 28.08, d 3.178, rel. 40
2θ 30.83, d 2.901, rel. 100
2θ 39.08, d 2.305, rel. 22
2θ 48.81, d 1.866, rel. 24
2θ 51.44, d 1.776, rel. 24

---

(3)
CeGa4Hg: computed XRD peak list (Cu Kα (weighted mean of Kα1 and Kα2)), based on a DFT-relaxed cell (PBE, Alexandria).
Neutral-atom scattering factors, no anomalous dispersion.

Cell: 5.6299 5.6299 5.6299 Å, 60.00 60.00 60.00°
Sites, in units of the cell vectors:
1 Ce 0.0000 0.0000 0.0000
2 Ga 0.1243 0.6252 0.6252
3 Ga 0.6252 0.1243 0.6252
4 Ga 0.6252 0.6252 0.1243
5 Ga 0.6252 0.6252 0.6252
6 Hg 0.2500 0.2500 0.2500

Top 6 peaks for 2θ from 10° to 90°, sorted by position:
2θ 31.79, d 2.815, rel. 59
2θ 37.46, d 2.401, rel. 100
2θ 39.20, d 2.298, rel. 17
2θ 56.63, d 1.625, rel. 23
2θ 60.41, d 1.532, rel. 33
2θ 66.42, d 1.407, rel. 24

---

Please write out number 2 again, unchanged.
Rb2RhPb2: computed XRD peak list (Cu Kα (weighted mean of Kα1 and Kα2)), based on a DFT-relaxed cell (PBE, Alexandria).
Neutral-atom scattering factors, no anomalous dispersion.

Cell: 7.2889 7.2889 6.3561 Å, 90.00 90.00 90.00°
Sites, in units of the cell vectors:
1 Rb 0.1787 0.3213 0.0000
2 Rb 0.3213 0.8213 0.0000
3 Rb 0.6787 0.1787 0.0000
4 Rb 0.8213 0.6787 0.0000
5 Rh 0.0000 0.0000 0.5000
6 Rh 0.5000 0.5000 0.5000
7 Pb 0.1581 0.6581 0.5000
8 Pb 0.3419 0.1581 0.5000
9 Pb 0.6581 0.8419 0.5000
10 Pb 0.8419 0.3419 0.5000

Top 6 peaks for 2θ from 10° to 90°, sorted by position:
2θ 13.93, d 6.356, rel. 48
2θ 28.08, d 3.178, rel. 40
2θ 30.83, d 2.901, rel. 100
2θ 39.08, d 2.305, rel. 22
2θ 48.81, d 1.866, rel. 24
2θ 51.44, d 1.776, rel. 24